This entry pairs a crystal structure of Cs4GePb3I12 with its theoretical XRD peak list. Radiation: copper Kα. Structure: the PBE geometry in Alexandria.

Main lines, sorted by position (2θ from 10° to 80°):
2theta, Rel. int.
14.07, 31
19.95, 31
24.50, 48
28.36, 100
31.79, 18
40.54, 76
47.94, 21
50.22, 27
66.43, 35
73.75, 26

Cell and atoms:
Unit cell a=10.9007 b=10.9007 c=10.9007 alpha=109.47 beta=109.47 gamma=109.47
Fractional positions:
Cs: 0.0000 0.0000 0.5000
Cs: 0.0000 0.5000 0.0000
Cs: 0.5000 0.0000 0.0000
Cs: 0.5000 0.5000 0.5000
Ge: 0.0000 0.0000 0.0000
Pb: 0.0000 0.5000 0.5000
Pb: 0.5000 0.0000 0.5000
Pb: 0.5000 0.5000 0.0000
I: 0.0000 0.2410 0.2410
I: 0.0000 0.7590 0.7590
I: 0.2410 0.0000 0.2410
I: 0.2410 0.2410 0.0000
I: 0.2500 0.5000 0.7500
I: 0.2500 0.7500 0.5000
I: 0.5000 0.2500 0.7500
I: 0.5000 0.7500 0.2500
I: 0.7500 0.2500 0.5000
I: 0.7500 0.5000 0.2500
I: 0.7590 0.0000 0.7590
I: 0.7590 0.7590 0.0000

***

This entry pairs a crystal structure of CsPmGe2I8 with its theoretical XRD peak list. Radiation: copper Kα. Structure: the PBE geometry in Alexandria.

Main lines, sorted by position (2θ from 10° to 80°):
2theta, Rel. int.
15.79, 25
19.94, 25
23.01, 37
24.75, 100
27.17, 22
28.49, 20
29.01, 19
30.58, 36
31.90, 30
39.48, 19

Cell and atoms:
Unit cell a=7.2723 b=7.8601 c=11.0993 alpha=94.36 beta=91.10 gamma=96.18
Fractional positions:
Cs: 0.0000 0.0000 0.0000
Pm: 0.0000 0.0000 0.5000
Ge: 0.4359 0.5456 0.3016
Ge: 0.5641 0.4544 0.6984
I: 0.2335 0.6818 0.4912
I: 0.2405 0.1685 0.3075
I: 0.2463 0.6027 0.1032
I: 0.2658 0.1602 0.7133
I: 0.7342 0.8398 0.2867
I: 0.7537 0.3973 0.8968
I: 0.7595 0.8315 0.6925
I: 0.7665 0.3182 0.5088

***

This entry pairs a crystal structure of Cs2SnGeI6 with its theoretical XRD peak list. Radiation: copper Kα. Structure: the PBE geometry in Alexandria.

Main lines, sorted by position (2θ from 10° to 80°):
2theta, Rel. int.
14.45, 13
20.49, 14
25.16, 89
29.13, 100
41.67, 75
49.30, 40
51.65, 26
66.48, 16
68.44, 34
76.05, 25

Cell and atoms:
Unit cell a=8.6702 b=8.6702 c=8.6702 alpha=60.00 beta=60.00 gamma=60.00
Fractional positions:
Cs: 0.2500 0.2500 0.2500
Cs: 0.7500 0.7500 0.7500
Sn: 0.0000 0.0000 0.0000
Ge: 0.5000 0.5000 0.5000
I: 0.2558 0.2558 0.7442
I: 0.2558 0.7442 0.2558
I: 0.2558 0.7442 0.7442
I: 0.7442 0.2558 0.2558
I: 0.7442 0.2558 0.7442
I: 0.7442 0.7442 0.2558

***

This entry pairs a crystal structure of Cs3SnGe2I9 with its theoretical XRD peak list. Radiation: copper Kα. Structure: the PBE geometry in Alexandria.

Main lines, sorted by position (2θ from 10° to 80°):
2theta, Rel. int.
20.65, 12
25.36, 94
29.37, 100
42.02, 74
49.72, 43
52.09, 26
60.93, 12
67.08, 17
69.06, 33
76.77, 25

Cell and atoms:
Unit cell a=8.6007 b=8.6007 c=10.5356 alpha=90.00 beta=90.00 gamma=120.00
Fractional positions:
Cs: 0.0000 0.0000 0.0000
Cs: 0.3333 0.6667 0.6696
Cs: 0.6667 0.3333 0.3304
Sn: 0.0000 0.0000 0.5000
Ge: 0.3333 0.6667 0.1603
Ge: 0.6667 0.3333 0.8397
I: 0.0000 0.5000 0.0000
I: 0.1709 0.3418 0.3271
I: 0.1709 0.8291 0.3271
I: 0.3418 0.1709 0.6729
I: 0.5000 0.0000 0.0000
I: 0.5000 0.5000 0.0000
I: 0.6582 0.8291 0.3271
I: 0.8291 0.1709 0.6729
I: 0.8291 0.6582 0.6729